[1]
Theoretical X-ray powder pattern of Nd5Mg4Pb for Cu Ka, from a cell relaxed with GGA-PBE.
No peak broadening, texture or thermal motion is included.

Main lines, in order of falling intensity (5 to 70 degrees two-theta):
32.46°, rel. 100
57.90°, rel. 38
22.80°, rel. 20
46.56°, rel. 18
67.97°, rel. 12
52.45°, rel. 8

Structural model:
Unit cell a=3.9034 b=3.9034 c=19.4823 alpha=90.00 beta=90.00 gamma=90.00
Positions (direct):
Nd1 0.0000 0.0000 0.0000
Nd2 0.0000 0.0000 0.1998
Nd3 0.0000 0.0000 0.3974
Nd4 0.0000 0.0000 0.6026
Nd5 0.0000 0.0000 0.8002
Mg1 0.5000 0.5000 0.0996
Mg2 0.5000 0.5000 0.2962
Mg3 0.5000 0.5000 0.7038
Mg4 0.5000 0.5000 0.9004
Pb1 0.5000 0.5000 0.5000

[2]
Theoretical X-ray powder pattern of AcLa6Tl2 for Cu Ka, from a cell relaxed with GGA-PBE.
No peak broadening, texture or thermal motion is included.

Main lines, in order of falling intensity (5 to 70 degrees two-theta):
28.66°, rel. 100
35.47°, rel. 66
51.04°, rel. 36
32.81°, rel. 26
59.59°, rel. 26
33.39°, rel. 23

Structural model:
Unit cell a=5.0608 b=5.0608 c=12.6600 alpha=90.00 beta=90.00 gamma=90.00
Positions (direct):
Ac1 0.0000 0.0000 0.0000
La1 0.0000 0.0000 0.5000
La2 0.0000 0.5000 0.2871
La3 0.0000 0.5000 0.7129
La4 0.5000 0.0000 0.2871
La5 0.5000 0.0000 0.7129
La6 0.5000 0.5000 0.5000
Tl1 0.5000 0.5000 0.1147
Tl2 0.5000 0.5000 0.8853

[3]
Theoretical X-ray powder pattern of Rb2CeGeSe4 for Cu Ka, from a cell relaxed with GGA-PBE.
No peak broadening, texture or thermal motion is included.

Main lines, in order of falling intensity (5 to 70 degrees two-theta):
28.29°, rel. 100
40.64°, rel. 83
28.55°, rel. 48
12.15°, rel. 23
40.21°, rel. 17
50.44°, rel. 16

Structural model:
Unit cell a=8.8825 b=8.8825 c=8.8825 alpha=120.05 beta=119.34 gamma=90.53
Positions (direct):
Rb1 0.0000 0.0000 0.0000
Rb2 0.5000 0.0000 0.0000
Rb3 0.5000 0.0000 0.5000
Rb4 0.5000 0.5000 0.5000
Ce1 0.0000 0.0000 0.5000
Ce2 0.0000 0.5000 0.0000
Ge1 0.0000 0.5000 0.5000
Ge2 0.5000 0.5000 0.0000
Se1 0.1934 0.7321 0.4613
Se2 0.2272 0.2633 0.5361
Se3 0.2272 0.6911 0.9639
Se4 0.2292 0.2679 0.9613
Se5 0.7708 0.7321 0.0387
Se6 0.7728 0.3089 0.0361
Se7 0.7728 0.7367 0.4639
Se8 0.8066 0.2679 0.5387

[4]
Theoretical X-ray powder pattern of ZrTc2Ir2 for Cu Ka, from a cell relaxed with GGA-PBE.
No peak broadening, texture or thermal motion is included.

Main lines, in order of falling intensity (5 to 70 degrees two-theta):
42.00°, rel. 100
37.10°, rel. 57
16.36°, rel. 32
42.53°, rel. 26
54.47°, rel. 19
40.24°, rel. 16

Structural model:
Unit cell a=7.6633 b=7.6633 c=2.7632 alpha=90.00 beta=90.00 gamma=90.00
Positions (direct):
Zr1 0.0000 0.0000 0.0000
Zr2 0.5000 0.5000 0.0000
Tc1 0.1738 0.3262 0.5000
Tc2 0.3262 0.8262 0.5000
Tc3 0.6738 0.1738 0.5000
Tc4 0.8262 0.6738 0.5000
Ir1 0.1227 0.6227 0.0000
Ir2 0.3773 0.1227 0.0000
Ir3 0.6227 0.8773 0.0000
Ir4 0.8773 0.3773 0.0000

Please write out number 4 again, unchanged.
Theoretical X-ray powder pattern of ZrTc2Ir2 for Cu Ka, from a cell relaxed with GGA-PBE.
No peak broadening, texture or thermal motion is included.

Main lines, in order of falling intensity (5 to 70 degrees two-theta):
42.00°, rel. 100
37.10°, rel. 57
16.36°, rel. 32
42.53°, rel. 26
54.47°, rel. 19
40.24°, rel. 16

Structural model:
Unit cell a=7.6633 b=7.6633 c=2.7632 alpha=90.00 beta=90.00 gamma=90.00
Positions (direct):
Zr1 0.0000 0.0000 0.0000
Zr2 0.5000 0.5000 0.0000
Tc1 0.1738 0.3262 0.5000
Tc2 0.3262 0.8262 0.5000
Tc3 0.6738 0.1738 0.5000
Tc4 0.8262 0.6738 0.5000
Ir1 0.1227 0.6227 0.0000
Ir2 0.3773 0.1227 0.0000
Ir3 0.6227 0.8773 0.0000
Ir4 0.8773 0.3773 0.0000